(1)
Calculated X-ray powder pattern
Compound: YMgPb3
Radiation: a wavelength of 1.5418 Å
Structure: a DFT-relaxed cell (PBE, Alexandria)
Peak positions follow from Bragg's law for the DFT cell and can differ from measured ones.

Cell and atoms:
Lattice parameters (Å, degrees): 6.4923 13.4433 6.4055 90.00 90.13 90.00
Fractional coordinates of all 20 atoms:
Y 0.2493 0.1920 0.9998
Y 0.2493 0.8080 0.4998
Y 0.7507 0.1920 0.5002
Y 0.7507 0.8080 0.0002
Mg 0.0000 0.3823 0.2500
Mg 0.0000 0.6177 0.7500
Mg 0.5000 0.3822 0.2500
Mg 0.5000 0.6178 0.7500
Pb 0.0000 0.0010 0.2500
Pb 0.0000 0.9990 0.7500
Pb 0.2501 0.4232 0.8148
Pb 0.2501 0.5768 0.3148
Pb 0.2507 0.2246 0.5048
Pb 0.2507 0.7754 0.0048
Pb 0.5000 0.0006 0.2500
Pb 0.5000 0.9994 0.7500
Pb 0.7493 0.2246 0.9952
Pb 0.7493 0.7754 0.4952
Pb 0.7499 0.4232 0.6852
Pb 0.7499 0.5768 0.1852

The 8 most intense peaks (2θ from 10° to 90°), by angle:
2θ/deg, I/Imax
27.91, 43
28.28, 38
30.58, 43
30.93, 100
33.32, 52
34.11, 46
34.42, 36
40.12, 47

***

(2)
Calculated X-ray powder pattern
Compound: YMg3Pb6
Radiation: a wavelength of 1.5418 Å
Structure: a DFT-relaxed cell (PBE, Alexandria)
Peak positions follow from Bragg's law for the DFT cell and can differ from measured ones.

Cell and atoms:
Lattice parameters (Å, degrees): 4.8563 9.6337 12.8745 90.00 105.29 90.00
Fractional coordinates of all 20 atoms:
Y 0.0000 0.0000 0.0000
Y 0.0000 0.5000 0.5000
Mg 0.3806 0.1732 0.8378
Mg 0.3806 0.3268 0.3378
Mg 0.5000 0.0000 0.5000
Mg 0.5000 0.5000 0.0000
Mg 0.6194 0.6732 0.6622
Mg 0.6194 0.8268 0.1622
Pb 0.0511 0.6719 0.0613
Pb 0.0511 0.8281 0.5613
Pb 0.1849 0.5069 0.7583
Pb 0.1849 0.9931 0.2583
Pb 0.4298 0.6882 0.3790
Pb 0.4298 0.8118 0.8790
Pb 0.5702 0.1882 0.1210
Pb 0.5702 0.3118 0.6210
Pb 0.8151 0.0069 0.7417
Pb 0.8151 0.4931 0.2417
Pb 0.9489 0.1719 0.4387
Pb 0.9489 0.3281 0.9387

The 8 most intense peaks (2θ from 10° to 90°), by angle:
2θ/deg, I/Imax
22.52, 34
23.37, 30
23.86, 30
28.28, 37
28.43, 29
33.53, 100
34.37, 37
37.29, 32

***

(3)
Calculated X-ray powder pattern
Compound: YMg4Pb
Radiation: a wavelength of 1.5418 Å
Structure: a DFT-relaxed cell (PBE, Alexandria)
Peak positions follow from Bragg's law for the DFT cell and can differ from measured ones.

Cell and atoms:
Lattice parameters (Å, degrees): 6.0195 6.0195 6.0195 60.00 60.00 60.00
Fractional coordinates of all 6 atoms:
Y 0.0000 0.0000 0.0000
Mg 0.1233 0.6256 0.6256
Mg 0.6256 0.1233 0.6256
Mg 0.6256 0.6256 0.1233
Mg 0.6256 0.6256 0.6256
Pb 0.2500 0.2500 0.2500

The 8 most intense peaks (2θ from 10° to 90°), by angle:
2θ/deg, I/Imax
18.05, 68
29.68, 90
34.96, 100
46.50, 19
52.67, 37
56.14, 34
61.63, 20
88.15, 23

***

(4)
Calculated X-ray powder pattern
Compound: MgZnPb
Radiation: a wavelength of 1.5418 Å
Structure: a DFT-relaxed cell (PBE, Alexandria)
Peak positions follow from Bragg's law for the DFT cell and can differ from measured ones.

Cell and atoms:
Lattice parameters (Å, degrees): 9.1244 6.9918 5.3436 90.00 125.69 90.00
Fractional coordinates of all 12 atoms:
Mg 0.1750 0.0000 0.4261
Mg 0.3250 0.5000 0.5739
Mg 0.6750 0.5000 0.4261
Mg 0.8250 0.0000 0.5739
Zn 0.0000 0.6744 0.5000
Zn 0.0000 0.6761 0.0000
Zn 0.5000 0.1744 0.5000
Zn 0.5000 0.1761 0.0000
Pb 0.1520 0.3033 0.9020
Pb 0.3480 0.8033 0.0980
Pb 0.6520 0.8033 0.9020
Pb 0.8480 0.3033 0.0980

The 8 most intense peaks (2θ from 10° to 90°), by angle:
2θ/deg, I/Imax
17.44, 30
20.49, 75
25.48, 39
32.06, 100
32.92, 80
38.04, 49
38.66, 47
49.23, 26

***

(5)
Calculated X-ray powder pattern
Compound: MgZnPb2
Radiation: a wavelength of 1.5418 Å
Structure: a DFT-relaxed cell (PBE, Alexandria)
Peak positions follow from Bragg's law for the DFT cell and can differ from measured ones.

Cell and atoms:
Lattice parameters (Å, degrees): 4.3389 4.6532 5.0010 90.00 90.00 90.00
Fractional coordinates of all 4 atoms:
Mg 0.0000 0.0000 0.0000
Zn 0.0000 0.5000 0.5000
Pb 0.5000 0.0000 0.5000
Pb 0.5000 0.5000 0.0000

The 8 most intense peaks (2θ from 10° to 90°), by angle:
2θ/deg, I/Imax
20.47, 31
26.16, 35
33.44, 100
35.91, 21
38.70, 17
41.66, 24
58.16, 19
62.98, 16

***

(6)
Calculated X-ray powder pattern
Compound: Mg17Zn11Pb
Radiation: a wavelength of 1.5418 Å
Structure: a DFT-relaxed cell (PBE, Alexandria)
Peak positions follow from Bragg's law for the DFT cell and can differ from measured ones.

Cell and atoms:
Lattice parameters (Å, degrees): 9.0610 9.0610 8.6359 107.45 107.45 110.32
Fractional coordinates of all 29 atoms:
Mg 0.0000 0.0000 0.0000
Mg 0.2473 0.5719 0.5764
Mg 0.2866 0.2866 0.7014
Mg 0.3040 0.6930 0.3039
Mg 0.3282 0.3282 0.3257
Mg 0.3482 0.6660 0.9729
Mg 0.3771 0.9664 0.6733
Mg 0.5719 0.2473 0.5764
Mg 0.5889 0.5889 0.2532
Mg 0.6580 0.9969 0.0093
Mg 0.6639 0.9818 0.3766
Mg 0.6660 0.3482 0.9729
Mg 0.6930 0.3040 0.3039
Mg 0.9664 0.3771 0.6733
Mg 0.9707 0.9707 0.6275
Mg 0.9818 0.6639 0.3766
Mg 0.9969 0.6580 0.0093
Zn 0.1404 0.7924 0.7921
Zn 0.1640 0.3414 0.9777
Zn 0.1890 0.9968 0.3667
Zn 0.3414 0.1640 0.9777
Zn 0.3583 0.9850 0.1673
Zn 0.6144 0.8008 0.6054
Zn 0.7924 0.1404 0.7921
Zn 0.8008 0.6144 0.6054
Zn 0.8482 0.8482 0.2175
Zn 0.9850 0.3583 0.1673
Zn 0.9968 0.1890 0.3667
Pb 0.6151 0.6151 0.8332

The 8 most intense peaks (2θ from 10° to 90°), by angle:
2θ/deg, I/Imax
20.28, 67
20.56, 61
20.98, 100
36.78, 60
36.90, 58
37.24, 69
39.01, 66
43.63, 53

***

(7)
Calculated X-ray powder pattern
Compound: Mg2ZnPb
Radiation: a wavelength of 1.5418 Å
Structure: a DFT-relaxed cell (PBE, Alexandria)
Peak positions follow from Bragg's law for the DFT cell and can differ from measured ones.

Cell and atoms:
Lattice parameters (Å, degrees): 4.3196 5.1425 9.1568 90.47 103.09 114.33
Fractional coordinates of all 8 atoms:
Mg 0.0000 0.0000 0.0000
Mg 0.2328 0.7500 0.7201
Mg 0.5000 0.5000 0.5000
Mg 0.7672 0.2500 0.2799
Zn 0.1524 0.8897 0.4109
Zn 0.8476 0.1103 0.5891
Pb 0.3903 0.6315 0.1505
Pb 0.6097 0.3685 0.8495

The 8 most intense peaks (2θ from 10° to 90°), by angle:
2θ/deg, I/Imax
20.51, 100
27.73, 45
28.12, 44
33.15, 57
33.37, 56
36.27, 52
36.67, 51
41.83, 36

***

(8)
Calculated X-ray powder pattern
Compound: Mg4ZnPb
Radiation: a wavelength of 1.5418 Å
Structure: a DFT-relaxed cell (PBE, Alexandria)
Peak positions follow from Bragg's law for the DFT cell and can differ from measured ones.

Cell and atoms:
Lattice parameters (Å, degrees): 8.3919 8.3919 5.1879 107.68 107.68 53.51
Fractional coordinates of all 12 atoms:
Mg 0.1091 0.6355 0.3728
Mg 0.1914 0.8086 0.0000
Mg 0.3229 0.3229 0.8251
Mg 0.3645 0.8909 0.6272
Mg 0.6355 0.1091 0.3728
Mg 0.6771 0.6771 0.1749
Mg 0.8086 0.1914 0.0000
Mg 0.8909 0.3645 0.6272
Zn 0.5000 0.5000 0.2596
Zn 0.5000 0.5000 0.7404
Pb 0.1920 0.1920 0.1941
Pb 0.8080 0.8080 0.8059

The 8 most intense peaks (2θ from 10° to 90°), by angle:
2θ/deg, I/Imax
20.77, 84
22.28, 100
23.55, 48
24.29, 26
34.98, 47
35.11, 48
36.17, 24
40.65, 26